Dy2H5Rh2: theoretical PXRD pattern (Cu Kα), based on a PBE-relaxed structure.

Most intense lines, 10 to 90 degrees two-theta, sorted by position:
2.569 Å, I = 100, (1 4 1); 2.555 Å, I = 24, (0 0 2); 2.534 Å, I = 25, (2 0 0); 1.835 Å, I = 9, (0 8 0); 1.799 Å, I = 18, (2 0 2); 1.490 Å, I = 9, (0 8 2); 1.486 Å, I = 9, (2 8 0); 1.478 Å, I = 17, (1 4 3); 1.470 Å, I = 18, (3 4 1); 1.285 Å, I = 11, (2 8 2); 1.158 Å, I = 8, (1 12 1); 1.140 Å, I = 7, (3 4 3)

a = 5.068 Å, b = 14.678 Å, c = 5.109 Å
α = 90.00°, β = 90.00°, γ = 90.00°
Space group Imma (No. 74)
Inequivalent atoms, fractional coordinates:
Dy 0.000 0.130 0.000
H 0.000 0.126 0.486
H 0.250 0.001 0.250
H 0.250 0.250 0.750
Rh 0.000 0.000 0.500
Rh 0.000 0.250 0.469

Ac2Ag5Sn3: theoretical PXRD pattern (Cu Kα), based on a PBE-relaxed structure.

Most intense lines, 10 to 90 degrees two-theta, sorted by position:
2.982 Å, I = 100, (3 2 1); 2.912 Å, I = 86, (2 0 2); 2.851 Å, I = 80, (2 4 0); 2.348 Å, I = 97, (0 4 2); 2.077 Å, I = 49, (5 2 1); 1.861 Å, I = 26, (3 2 3); 1.829 Å, I = 24, (3 6 1); 1.566 Å, I = 20, (5 2 3); 1.547 Å, I = 19, (5 6 1); 1.450 Å, I = 32, (2 4 4); 1.427 Å, I = 20, (2 8 2); 1.232 Å, I = 21, (8 4 2)

a = 11.581 Å, b = 13.104 Å, c = 6.737 Å
α = 90.00°, β = 90.00°, γ = 90.00°
Space group Ibam (No. 72)
Inequivalent atoms, fractional coordinates:
Ac 0.240 0.124 0.000
Ag 0.000 0.000 0.250
Ag 0.000 0.261 0.250
Ag 0.141 0.382 0.000
Sn 0.000 0.500 0.250
Sn 0.127 0.133 0.500

Y8Er3Sc2: theoretical PXRD pattern (Cu Kα), based on a PBE-relaxed structure.

Most intense lines, 10 to 90 degrees two-theta, sorted by position:
3.558 Å, I = 16, (2 2 0); 3.001 Å, I = 25, (2 2 1); 2.950 Å, I = 38, (1 5 1); 2.809 Å, I = 22, (0 6 1); 2.792 Å, I = 43, (0 0 2); 2.648 Å, I = 100, (2 4 1); 2.526 Å, I = 14, (3 1 0); 2.437 Å, I = 14, (0 8 0); 1.873 Å, I = 12, (3 1 2); 1.650 Å, I = 18, (3 9 0); 1.583 Å, I = 20, (2 4 3); 1.379 Å, I = 13, (5 5 1)

a = 7.644 Å, b = 19.505 Å, c = 5.583 Å
α = 90.00°, β = 90.00°, γ = 90.00°
Space group Cmmm (No. 65)
Inequivalent atoms, fractional coordinates:
Y 0.000 0.134 0.000
Y 0.000 0.323 0.000
Y 0.210 0.389 0.500
Er 0.000 0.000 0.500
Er 0.215 0.500 0.000
Sc 0.000 0.241 0.500